No. 1
Theoretical powder XRD pattern of Dy6InCo2 for Cu Kα (weighted mean of Kα1 and Kα2), from a cell relaxed with GGA-PBE.
Neutral-atom scattering factors, no anomalous dispersion.

Cell and atoms:
Unit cell a=8.3876 b=8.3876 c=8.3876 alpha=111.80 beta=109.73 gamma=106.92
Element x y z (fractional)
Dy (0.0261, 0.2344, 0.7918)
Dy (0.1850, 0.2867, 0.4717)
Dy (0.1850, 0.7133, 0.8983)
Dy (0.3186, 0.0103, 0.6918)
Dy (0.3186, 0.6268, 0.3082)
Dy (0.4426, 0.2344, 0.2082)
Dy (0.5574, 0.7656, 0.7918)
Dy (0.6814, 0.3732, 0.6918)
Dy (0.6814, 0.9897, 0.3082)
Dy (0.8150, 0.2867, 0.1017)
Dy (0.8150, 0.7133, 0.5283)
Dy (0.9739, 0.7656, 0.2082)
In (0.0000, 0.0000, 0.0000)
In (0.5000, 0.5000, 0.0000)
Co (0.1120, 0.6120, 0.5000)
Co (0.3667, 0.0000, 0.3667)
Co (0.6333, 0.0000, 0.6333)
Co (0.8880, 0.3880, 0.5000)

Principal peaks in the range 2θ from 10° to 90°, by angle:
2θ (°)	I_rel
28.37	18
29.96	25
32.05	100
34.28	29
34.50	41
34.97	30
35.30	16
35.97	16
38.28	17
59.90	22


No. 2
Theoretical powder XRD pattern of ThNb4O12 for Cu Kα (weighted mean of Kα1 and Kα2), from a cell relaxed with GGA-PBE.
Neutral-atom scattering factors, no anomalous dispersion.

Cell and atoms:
Unit cell a=11.9759 b=11.9759 c=11.9759 alpha=152.94 beta=96.09 gamma=90.20
Element x y z (fractional)
Th (0.0000, 0.0000, 0.0000)
Th (0.1722, 0.6722, 0.5000)
Th (0.8278, 0.3278, 0.5000)
Nb (0.0396, 0.1734, 0.8662)
Nb (0.1358, 0.5000, 0.6358)
Nb (0.2191, 0.8427, 0.3764)
Nb (0.3071, 0.1734, 0.1338)
Nb (0.3803, 0.5000, 0.8803)
Nb (0.4664, 0.8427, 0.6236)
Nb (0.5336, 0.1573, 0.3764)
Nb (0.6197, 0.5000, 0.1197)
Nb (0.6929, 0.8266, 0.8662)
Nb (0.7809, 0.1573, 0.6236)
Nb (0.8642, 0.5000, 0.3642)
Nb (0.9604, 0.8266, 0.1338)
O (0.0000, 0.5000, 0.5000)
O (0.0272, 0.1674, 0.3551)
O (0.0272, 0.6721, 0.8598)
O (0.0820, 0.8297, 0.2523)
O (0.1267, 0.5074, 0.1551)
O (0.1267, 0.9716, 0.6194)
O (0.1541, 0.1541, 0.0000)
O (0.1877, 0.3279, 0.3551)
O (0.1877, 0.8326, 0.8598)
O (0.2517, 0.5000, 0.7517)
O (0.2934, 0.1675, 0.6303)
O (0.2934, 0.6631, 0.1259)
O (0.3179, 0.8179, 0.5000)
O (0.3522, 0.5074, 0.3806)
O (0.3522, 0.9716, 0.8449)
O (0.4227, 0.1703, 0.2523)
O (0.4627, 0.3369, 0.6303)
O (0.4627, 0.8325, 0.1259)
O (0.5000, 0.5000, 0.0000)
O (0.5373, 0.1675, 0.8741)
O (0.5373, 0.6631, 0.3697)
O (0.5773, 0.8297, 0.7477)
O (0.6478, 0.0284, 0.1551)
O (0.6478, 0.4926, 0.6194)
O (0.6821, 0.1821, 0.5000)
O (0.7066, 0.3369, 0.8741)
O (0.7066, 0.8325, 0.3697)
O (0.7483, 0.5000, 0.2483)
O (0.8123, 0.1674, 0.1402)
O (0.8123, 0.6721, 0.6449)
O (0.8459, 0.8459, 0.0000)
O (0.8733, 0.0284, 0.3806)
O (0.8733, 0.4926, 0.8449)
O (0.9180, 0.1703, 0.7477)
O (0.9728, 0.3279, 0.1402)
O (0.9728, 0.8326, 0.6449)

Principal peaks in the range 2θ from 10° to 90°, by angle:
2θ (°)	I_rel
11.05	42
19.80	22
22.37	20
25.02	30
26.98	20
31.73	100
31.95	21
45.66	31
56.54	24
66.30	21


No. 3
Theoretical powder XRD pattern of KC2 for Cu Kα (weighted mean of Kα1 and Kα2), from a cell relaxed with GGA-PBE.
Neutral-atom scattering factors, no anomalous dispersion.

Cell and atoms:
Unit cell a=8.2184 b=4.4642 c=8.2778 alpha=90.00 beta=108.63 gamma=90.00
Element x y z (fractional)
K (0.2161, 0.0000, 0.2484)
K (0.2839, 0.5000, 0.7516)
K (0.7161, 0.5000, 0.2484)
K (0.7839, 0.0000, 0.7516)
C (0.0359, 0.5000, 0.9428)
C (0.0721, 0.0000, 0.5574)
C (0.4279, 0.5000, 0.4426)
C (0.4641, 0.0000, 0.0572)
C (0.5359, 0.0000, 0.9428)
C (0.5721, 0.5000, 0.5574)
C (0.9279, 0.0000, 0.4426)
C (0.9641, 0.5000, 0.0572)

Principal peaks in the range 2θ from 10° to 90°, by angle:
2θ (°)	I_rel
22.67	12
23.95	14
26.61	44
27.25	100
37.38	12
38.35	28
38.56	20
40.41	25
44.82	9
49.04	12


No. 4
Theoretical powder XRD pattern of Cs2MgO2 for Cu Kα (weighted mean of Kα1 and Kα2), from a cell relaxed with GGA-PBE.
Neutral-atom scattering factors, no anomalous dispersion.

Cell and atoms:
Unit cell a=10.0691 b=6.7840 c=16.7126 alpha=90.00 beta=116.90 gamma=90.00
Element x y z (fractional)
Cs (0.0720, 0.0704, 0.1219)
Cs (0.0720, 0.4296, 0.6219)
Cs (0.1794, 0.5859, 0.2586)
Cs (0.1794, 0.9141, 0.7586)
Cs (0.3521, 0.6648, 0.5274)
Cs (0.3521, 0.8352, 0.0274)
Cs (0.4249, 0.1341, 0.6635)
Cs (0.4249, 0.3659, 0.1635)
Cs (0.5751, 0.6341, 0.8365)
Cs (0.5751, 0.8659, 0.3365)
Cs (0.6479, 0.1648, 0.9726)
Cs (0.6479, 0.3352, 0.4726)
Cs (0.8206, 0.0859, 0.2414)
Cs (0.8206, 0.4141, 0.7414)
Cs (0.9280, 0.5704, 0.3781)
Cs (0.9280, 0.9296, 0.8781)
Mg (0.0867, 0.0504, 0.4601)
Mg (0.0867, 0.4496, 0.9601)
Mg (0.2536, 0.1288, 0.3742)
Mg (0.2536, 0.3712, 0.8742)
Mg (0.7464, 0.6288, 0.1258)
Mg (0.7464, 0.8712, 0.6258)
Mg (0.9133, 0.5504, 0.0399)
Mg (0.9133, 0.9496, 0.5399)
O (0.1166, 0.5881, 0.8604)
O (0.1166, 0.9119, 0.3604)
O (0.1247, 0.6189, 0.0672)
O (0.1247, 0.8811, 0.5672)
O (0.2337, 0.2329, 0.9715)
O (0.2337, 0.2671, 0.4715)
O (0.3569, 0.1905, 0.3061)
O (0.3569, 0.3095, 0.8061)
O (0.6431, 0.6905, 0.1939)
O (0.6431, 0.8095, 0.6939)
O (0.7663, 0.7329, 0.5285)
O (0.7663, 0.7671, 0.0285)
O (0.8753, 0.1189, 0.4328)
O (0.8753, 0.3811, 0.9328)
O (0.8834, 0.0881, 0.6396)
O (0.8834, 0.4119, 0.1396)

Principal peaks in the range 2θ from 10° to 90°, by angle:
2θ (°)	I_rel
25.05	43
26.60	73
27.31	17
27.48	76
27.79	51
30.49	100
31.96	51
44.86	20
45.50	17
50.61	22


No. 5
Theoretical powder XRD pattern of Ag2S for Cu Kα (weighted mean of Kα1 and Kα2), from a cell relaxed with GGA-PBE.
Neutral-atom scattering factors, no anomalous dispersion.

Cell and atoms:
Unit cell a=4.4316 b=7.0032 c=7.3039 alpha=90.00 beta=90.00 gamma=90.00
Element x y z (fractional)
Ag (0.0041, 0.2241, 0.3548)
Ag (0.1382, 0.6114, 0.5434)
Ag (0.3618, 0.3886, 0.0434)
Ag (0.4959, 0.7759, 0.8548)
Ag (0.5041, 0.2759, 0.6452)
Ag (0.6382, 0.8886, 0.4566)
Ag (0.8618, 0.1114, 0.9566)
Ag (0.9959, 0.7241, 0.1452)
S (0.1215, 0.9982, 0.6493)
S (0.3785, 0.0018, 0.1493)
S (0.6215, 0.5018, 0.3507)
S (0.8785, 0.4982, 0.8507)

Principal peaks in the range 2θ from 10° to 90°, by angle:
2θ (°)	I_rel
23.48	15
32.59	31
34.30	100
34.89	81
39.17	37
40.57	35
42.64	21
44.38	17
44.65	14
46.15	12